# 1
The following is a simulated powder diffractogram of ScCuSnSe3. It was derived from a GGA-PBE-relaxed structure, using CuKα.
Lines closer than 0.1° are merged.

Top 10 peaks for 10° ≤ 2θ ≤ 90°, low angle first:
two_theta  d_spacing  Rel. int.
31.15  2.872  31
31.25  2.862  33
31.82  2.813  100
33.39  2.683  15
34.75  2.582  30
38.42  2.343  32
43.47  2.082  16
44.84  2.021  20
44.97  2.016  28
46.38  1.958  29

Structure:
```
12
Lattice="8.7921 -1.9577 0.0000 8.7921 1.9577 0.0000 -1.7363 0.0000 7.8980" Properties=species:S:1:pos:R:3 pbc="T T T"
Sc 2.7098 0.0000 0.6485
Sc 13.1380 0.0000 7.2495
Cu 6.7151 0.0000 6.2788
Cu 9.1328 0.0000 1.6192
Sn 1.2780 0.0000 4.5091
Sn 14.5698 0.0000 3.3889
Se 0.0000 0.0000 0.0000
Se 4.4593 0.0000 5.3822
Se 5.4292 0.0000 1.1285
Se 7.9239 0.0000 3.9490
Se 10.4187 0.0000 6.7695
Se 11.3886 0.0000 2.5158
```

=====

# 2
The following is a simulated powder diffractogram of AgBi2S3F. It was derived from a GGA-PBE-relaxed structure, using CuKα.
Lines closer than 0.1° are merged.

Top 10 peaks for 10° ≤ 2θ ≤ 90°, low angle first:
two_theta  d_spacing  Rel. int.
25.77  3.456  100
25.94  3.434  79
26.29  3.390  62
28.17  3.168  51
28.58  3.124  88
32.73  2.736  67
36.32  2.474  57
41.11  2.196  47
45.85  1.979  47
49.77  1.832  50

Structure:
```
14
Lattice="7.5981 0.0000 0.0000 0.0000 3.9585 0.0000 -2.9319 0.0000 10.1694" Properties=species:S:1:pos:R:3 pbc="T T T"
Ag -0.8063 0.9896 4.1564
Ag 5.4726 2.9689 6.0130
Bi -1.1579 0.9896 9.6637
Bi 1.6879 2.9689 6.7869
Bi 2.9784 0.9896 3.3825
Bi 5.8241 2.9689 0.5057
S -0.1918 0.9896 1.5037
S -0.3066 0.9896 6.8729
S 1.1190 2.9689 4.2528
S 3.5472 0.9896 5.9165
S 4.9728 2.9689 3.2964
S 4.8581 2.9689 8.6657
F 2.7445 2.9689 0.7141
F 1.9218 0.9896 9.4552
```

=====

# 3
The following is a simulated powder diffractogram of Bi2Pt9. It was derived from a GGA-PBE-relaxed structure, using CuKα.
Lines closer than 0.1° are merged.

Top 10 peaks for 10° ≤ 2θ ≤ 90°, low angle first:
two_theta  d_spacing  Rel. int.
36.72  2.448  96
37.69  2.387  100
40.38  2.233  21
43.01  2.103  34
44.58  2.032  85
46.30  1.961  18
61.68  1.504  45
68.01  1.378  23
76.33  1.248  21
78.13  1.223  27

Structure:
```
11
Lattice="3.0084 0.0000 0.0000 -1.5042 2.6053 0.0000 0.0000 0.0000 35.7360" Properties=species:S:1:pos:R:3 pbc="T T T"
Bi 0.0000 1.7369 10.9018
Bi 1.5042 0.8684 24.8342
Pt 0.0000 0.0000 0.0000
Pt 0.0000 0.0000 6.3760
Pt 0.0000 0.0000 29.3600
Pt 0.0000 1.7369 4.2394
Pt 0.0000 1.7369 27.1610
Pt 0.0000 1.7369 33.6156
Pt 1.5042 0.8684 2.1204
Pt 1.5042 0.8684 8.5750
Pt 1.5042 0.8684 31.4966
```

=====

# 4
The following is a simulated powder diffractogram of Ag2Pb5. It was derived from a GGA-PBE-relaxed structure, using CuKα.
Lines closer than 0.1° are merged.

Top 10 peaks for 10° ≤ 2θ ≤ 90°, low angle first:
two_theta  d_spacing  Rel. int.
20.62  4.307  15
33.93  2.642  100
34.30  2.614  89
49.02  1.858  33
60.71  1.525  19
60.95  1.520  35
61.67  1.504  13
71.40  1.321  12
81.66  1.179  16
82.30  1.172  12

Structure:
```
7
Lattice="2.6422 1.5255 8.4933 -2.6422 1.5255 8.4933 0.0000 -3.0510 8.4933" Properties=species:S:1:pos:R:3 pbc="T T T"
Ag 0.0000 0.0000 0.0000
Ag 0.0000 0.0000 12.4708
Pb 0.0000 0.0000 5.9232
Pb 0.0000 0.0000 9.3747
Pb 0.0000 0.0000 15.8461
Pb 0.0000 0.0000 19.0928
Pb 0.0000 0.0000 22.1637
```

=====

# 5
The following is a simulated powder diffractogram of Nb2ZnOs. It was derived from a GGA-PBE-relaxed structure, using CuKα.
Lines closer than 0.1° are merged.

Top 10 peaks for 10° ≤ 2θ ≤ 90°, low angle first:
two_theta  d_spacing  Rel. int.
24.24  3.672  10
28.06  3.180  8
40.10  2.249  100
47.41  1.918  6
49.65  1.836  2
58.00  1.590  17
63.78  1.459  2
65.65  1.422  3
72.85  1.298  33
86.57  1.124  11

Structure:
```
16
Lattice="6.3604 0.0000 0.0000 0.0000 6.3604 0.0000 0.0000 0.0000 6.3604" Properties=species:S:1:pos:R:3 pbc="T T T"
Nb 0.0000 0.0000 0.0000
Nb 0.0000 3.1802 3.1802
Nb 1.5901 1.5901 1.5901
Nb 1.5901 4.7703 4.7703
Nb 3.1802 0.0000 3.1802
Nb 3.1802 3.1802 0.0000
Nb 4.7703 1.5901 4.7703
Nb 4.7703 4.7703 1.5901
Zn 0.0000 0.0000 3.1802
Zn 0.0000 3.1802 0.0000
Zn 3.1802 0.0000 0.0000
Zn 3.1802 3.1802 3.1802
Os 1.5901 1.5901 4.7703
Os 1.5901 4.7703 1.5901
Os 4.7703 1.5901 1.5901
Os 4.7703 4.7703 4.7703
```

=====

# 6
The following is a simulated powder diffractogram of Gd2Al19Co6. It was derived from a GGA-PBE-relaxed structure, using CuKα.
Lines closer than 0.1° are merged.

Top 10 peaks for 10° ≤ 2θ ≤ 90°, low angle first:
two_theta  d_spacing  Rel. int.
22.39  3.971  100
22.80  3.901  53
25.70  3.467  72
30.74  2.908  52
30.91  2.893  53
37.50  2.398  53
37.55  2.395  49
37.84  2.377  85
44.36  2.042  82
45.03  2.013  52

Structure:
```
54
Lattice="8.7438 -6.0124 0.0000 8.7438 6.0124 0.0000 -1.9639 0.0000 7.9286" Properties=species:S:1:pos:R:3 pbc="T T T"
Gd 3.3934 0.0000 1.8014
Gd 2.4015 0.0000 5.9012
Gd 13.1222 0.0000 2.0274
Gd 12.1303 0.0000 6.1272
Al 3.9450 2.9984 1.9038
Al 5.0613 4.0088 4.3735
Al 6.1998 3.9235 0.4363
Al 7.1009 4.6105 2.7861
Al 6.1634 4.5982 6.7032
Al 9.3603 4.5982 1.2254
Al 8.4228 4.6105 5.1425
Al 4.5163 1.3902 4.2333
Al 5.7778 1.3530 0.3797
Al 7.0232 2.0829 5.0525
Al 9.3239 3.9235 7.4923
Al 10.4624 4.0088 3.5551
Al 8.7438 2.0284 0.0000
Al 8.5005 2.0829 2.8761
Al 5.6069 0.0000 6.4773
Al 6.6292 0.0000 2.8056
Al 4.5163 -1.3902 4.2333
Al 5.7778 -1.3530 0.3797
Al 11.5787 2.9984 6.0248
Al 3.9450 -2.9984 1.9038
Al 9.7459 1.3530 7.5489
Al 11.0074 1.3902 3.6953
Al 8.8945 0.0000 5.1230
Al 9.9168 0.0000 1.4513
Al 7.0232 -2.0829 5.0525
Al 8.7438 -2.0284 0.0000
Al 5.0613 -4.0088 4.3735
Al 6.1998 -3.9235 0.4363
Al 8.5005 -2.0829 2.8761
Al 9.7459 -1.3530 7.5489
Al 11.0074 -1.3902 3.6953
Al 7.1009 -4.6105 2.7861
Al 6.1634 -4.5982 6.7032
Al 9.3603 -4.5982 1.2254
Al 8.4228 -4.6105 5.1425
Al 9.3239 -3.9235 7.4923
Al 10.4624 -4.0088 3.5551
Al 11.5787 -2.9984 6.0248
Co 0.2880 0.0000 3.2143
Co -0.6883 0.0000 7.1847
Co 5.0370 2.3919 6.4322
Co 6.0790 2.3745 2.6143
Co 9.4447 2.3745 5.3143
Co 10.4867 2.3919 1.4964
Co 5.0370 -2.3919 6.4322
Co 6.0790 -2.3745 2.6143
Co 9.4447 -2.3745 5.3143
Co 10.4867 -2.3919 1.4964
Co 16.2120 0.0000 0.7439
Co 15.2357 0.0000 4.7143
```

=====

# 7
The following is a simulated powder diffractogram of Lu2InB. It was derived from a GGA-PBE-relaxed structure, using CuKα.
Lines closer than 0.1° are merged.

Top 10 peaks for 10° ≤ 2θ ≤ 90°, low angle first:
two_theta  d_spacing  Rel. int.
29.16  3.063  22
32.32  2.770  22
33.43  2.680  100
44.08  2.054  16
51.69  1.768  20
58.36  1.581  18
62.30  1.490  20
62.97  1.476  16
81.68  1.179  8
85.74  1.133  14

Structure:
```
8
Lattice="3.5366 0.0000 0.0000 -1.7683 3.0628 0.0000 0.0000 0.0000 16.6173" Properties=species:S:1:pos:R:3 pbc="T T T"
Lu 0.0000 2.0418 1.5129
Lu 0.0000 2.0418 6.7957
Lu 1.7683 1.0209 9.8216
Lu 1.7683 1.0209 15.1044
In 0.0000 2.0418 12.4630
In 1.7683 1.0209 4.1543
B 0.0000 0.0000 0.0000
B 0.0000 0.0000 8.3087
```

=====

# 8
The following is a simulated powder diffractogram of Be4Cd2W3. It was derived from a GGA-PBE-relaxed structure, using CuKα.
Lines closer than 0.1° are merged.

Top 10 peaks for 10° ≤ 2θ ≤ 90°, low angle first:
two_theta  d_spacing  Rel. int.
26.67  3.342  59
27.09  3.291  59
30.90  2.894  71
31.26  2.861  49
38.38  2.345  66
41.26  2.188  85
41.55  2.173  100
50.06  1.822  71
71.77  1.315  33
77.51  1.232  32

Structure:
```
9
Lattice="6.6839 0.0000 0.0000 -3.3420 5.7885 0.0000 0.0000 0.0000 3.2915" Properties=species:S:1:pos:R:3 pbc="T T T"
Be 0.0000 0.0000 0.0000
Be -0.7016 1.9408 0.0000
Be -1.3103 5.4257 0.0000
Be 2.0120 4.2104 0.0000
Cd 0.0000 3.8590 1.6457
Cd 3.3420 1.9295 0.0000
W 1.0766 1.2431 1.6457
W 5.0691 0.3108 1.6457
W 3.8802 4.2345 1.6457
```

=====

# 9
The following is a simulated powder diffractogram of SmMgTlTe3. It was derived from a GGA-PBE-relaxed structure, using CuKα.
Lines closer than 0.1° are merged.

Top 10 peaks for 10° ≤ 2θ ≤ 90°, low angle first:
two_theta  d_spacing  Rel. int.
18.77  4.727  41
25.16  3.540  33
26.23  3.397  37
27.29  3.267  100
29.92  2.986  30
30.27  2.953  57
30.49  2.932  42
38.01  2.367  35
39.93  2.258  33
56.33  1.633  32

Structure:
```
24
Lattice="11.9438 0.0000 0.0000 0.0000 4.5158 0.0000 0.0000 0.0000 15.4692" Properties=species:S:1:pos:R:3 pbc="T T T"
Sm 0.1519 1.1289 3.8071
Sm 5.8201 3.3868 11.5417
Sm 6.1238 1.1289 3.9275
Sm 11.7920 3.3868 11.6621
Mg 2.8481 1.1289 11.0924
Mg 3.1239 3.3868 3.3578
Mg 8.8200 1.1289 12.1114
Mg 9.0958 3.3868 4.3768
Tl 2.7468 3.3868 7.8694
Tl 3.2251 1.1289 0.1348
Tl 8.7187 3.3868 15.3344
Tl 9.1971 1.1289 7.5998
Te 0.5319 1.1289 9.5518
Te 0.8769 3.3868 1.7341
Te 2.8529 3.3868 12.7981
Te 3.1190 1.1289 5.0635
Te 5.0950 1.1289 9.4687
Te 5.4400 3.3868 1.8172
Te 6.5038 1.1289 13.6520
Te 6.8489 3.3868 6.0005
Te 8.8248 3.3868 10.4057
Te 9.0909 1.1289 2.6711
Te 11.0669 1.1289 13.7351
Te 11.4119 3.3868 5.9174
```

=====

# 10
The following is a simulated powder diffractogram of Tb2SmZn2Si4Au2. It was derived from a GGA-PBE-relaxed structure, using CuKα.
Lines closer than 0.1° are merged.

Top 10 peaks for 10° ≤ 2θ ≤ 90°, low angle first:
two_theta  d_spacing  Rel. int.
28.18  3.167  20
30.52  2.929  15
33.25  2.695  34
33.76  2.655  100
38.68  2.328  15
42.96  2.106  21
44.45  2.038  19
45.14  2.009  22
55.38  1.659  16
65.21  1.431  15

Structure:
```
11
Lattice="-2.0383 2.1055 12.5693 2.0383 -2.1055 12.5693 2.0383 2.1055 -12.5693" Properties=species:S:1:pos:R:3 pbc="T T T"
Tb 0.0000 0.0000 3.6789
Tb 0.0000 0.0000 21.4596
Sm 0.0000 2.1055 0.0000
Zn 2.0383 0.0000 6.2647
Zn 0.0000 2.1055 6.3046
Si 2.0383 0.0000 1.1812
Si 0.0000 0.0000 7.7409
Si 0.0000 0.0000 17.3977
Si 0.0000 2.1055 11.3880
Au 0.0000 0.0000 10.1531
Au 0.0000 0.0000 14.9854
```

=====

# 11
The following is a simulated powder diffractogram of Pr2GdMg4Tl2. It was derived from a GGA-PBE-relaxed structure, using CuKα.
Lines closer than 0.1° are merged.

Top 10 peaks for 10° ≤ 2θ ≤ 90°, low angle first:
two_theta  d_spacing  Rel. int.
13.20  6.707  69
13.34  6.638  24
23.13  3.845  22
29.67  3.011  46
29.86  2.992  100
32.65  2.742  70
32.89  2.723  39
37.76  2.382  32
40.19  2.244  20
63.31  1.469  18

Structure:
```
9
Lattice="4.7649 0.0000 0.0000 0.0000 6.6378 3.8856 0.0000 -6.6378 3.8856" Properties=species:S:1:pos:R:3 pbc="T T T"
Pr 0.0000 -3.7984 3.8856
Pr 0.0000 3.7984 3.8856
Gd 0.0000 0.0000 5.0155
Mg 0.0000 0.0000 1.7254
Mg 2.3825 -1.6096 2.6220
Mg 2.3825 1.6096 2.6220
Mg 2.3825 0.0000 7.5780
Tl 2.3825 -2.1729 5.5447
Tl 2.3825 2.1729 5.5447
```

=====

# 12
The following is a simulated powder diffractogram of ThP7. It was derived from a GGA-PBE-relaxed structure, using CuKα.
Lines closer than 0.1° are merged.

Top 10 peaks for 10° ≤ 2θ ≤ 90°, low angle first:
two_theta  d_spacing  Rel. int.
17.35  5.110  59
17.93  4.946  100
19.11  4.644  81
25.02  3.559  63
29.15  3.064  72
34.08  2.631  100
35.12  2.555  50
35.55  2.526  51
42.52  2.126  58
45.04  2.013  52

Structure:
```
32
Lattice="5.6403 0.0000 0.0000 0.0000 10.2197 0.0000 0.0000 0.0000 10.4258" Properties=species:S:1:pos:R:3 pbc="T T T"
Th 0.7726 0.1026 3.4511
Th 2.0475 10.1172 8.6640
Th 3.5928 5.0073 6.9747
Th 4.8677 5.2124 1.7618
P 0.0542 7.7655 5.1930
P 0.2795 7.8545 7.4399
P 0.3313 0.5313 0.5386
P 0.7693 5.7033 7.7046
P 1.0026 7.6169 2.1336
P 1.1725 5.6236 9.8833
P 1.2867 2.4627 5.2113
P 1.5335 7.7570 10.4242
P 1.6476 4.5961 4.6704
P 1.8176 2.6028 7.3465
P 2.0509 4.5165 2.4916
P 2.4889 9.6885 5.7516
P 2.5407 2.3652 2.2270
P 2.7659 2.4542 10.4059
P 2.8744 7.5641 5.2328
P 3.0997 7.4751 2.9859
P 3.1515 4.5786 9.8872
P 3.5895 9.6263 2.7213
P 3.8228 7.7127 8.2923
P 3.9927 9.7060 0.5425
P 4.1069 2.6472 5.2146
P 4.3537 7.5726 0.0017
P 4.4678 0.5138 5.7555
P 4.6378 2.5070 3.0793
P 4.8710 0.5934 7.9342
P 5.3090 5.6411 4.6743
P 5.3608 2.7447 8.1988
P 5.5861 2.6557 0.0199
```